Record 1
Theoretical X-ray powder pattern of AgIrAu for Cu Kα, 1.54184 Å, from a crystal structure in OQMD, relaxed with PBE.

Principal peaks in the range 10° ≤ 2θ ≤ 90°, sorted by position:
24.87 deg, I = 44; 28.79 deg, I = 6; 41.17 deg, I = 100; 48.69 deg, I = 23; 51.01 deg, I = 1; 59.63 deg, I = 17; 65.61 deg, I = 10; 67.54 deg, I = 2; 75.03 deg, I = 34; 80.46 deg, I = 7; 89.36 deg, I = 12

Atomic structure:
```
3
Lattice="0.0000 3.1011 3.1011 3.1011 0.0000 3.1011 3.1011 3.1011 0.0000" Properties=species:S:1:pos:R:3 pbc="T T T"
Ag 0.0000 0.0000 0.0000
Ir 3.1011 3.1011 3.1011
Au 1.5505 1.5505 1.5505
```



Record 2
Theoretical X-ray powder pattern of ZnPPdO for Cu Kα, 1.54184 Å, from a crystal structure in OQMD, relaxed with PBE.

Principal peaks in the range 10° ≤ 2θ ≤ 90°, sorted by position:
10.56 deg, I = 29; 21.21 deg, I = 100; 24.65 deg, I = 21; 33.41 deg, I = 82; 38.38 deg, I = 16; 45.30 deg, I = 44; 45.63 deg, I = 45; 50.53 deg, I = 37; 54.50 deg, I = 16; 66.00 deg, I = 13; 76.02 deg, I = 20; 83.92 deg, I = 15

Atomic structure:
```
8
Lattice="4.0034 0.0000 0.0000 0.0000 4.0034 0.0000 0.0000 0.0000 8.3782" Properties=species:S:1:pos:R:3 pbc="T T T"
Zn 1.0009 1.0009 0.4231
Zn 3.0026 3.0026 7.9551
P 1.0009 1.0009 2.9344
P 3.0026 3.0026 5.4439
Pd 1.0009 3.0026 4.1891
Pd 3.0026 1.0009 4.1891
O 1.0009 3.0026 0.0000
O 3.0026 1.0009 0.0000
```



Record 3
Theoretical X-ray powder pattern of PaSeN for Cu Kα, 1.54184 Å, from a crystal structure in OQMD, relaxed with PBE.

Principal peaks in the range 10° ≤ 2θ ≤ 90°, sorted by position:
17.42 deg, I = 16; 26.99 deg, I = 60; 30.20 deg, I = 100; 33.52 deg, I = 42; 35.26 deg, I = 13; 39.76 deg, I = 26; 42.10 deg, I = 22; 46.49 deg, I = 41; 55.24 deg, I = 14; 56.44 deg, I = 18; 59.67 deg, I = 18; 76.04 deg, I = 15

Atomic structure:
```
6
Lattice="1.9532 1.1277 10.1829 -1.9532 1.1277 10.1829 0.0000 -2.2554 10.1829" Properties=species:S:1:pos:R:3 pbc="T T T"
Pa 0.0000 0.0000 6.5556
Pa 0.0000 0.0000 23.9931
Se 0.0000 0.0000 12.0609
Se 0.0000 0.0000 18.4878
N 0.0000 0.0000 4.2720
N 0.0000 0.0000 26.2767
```



Record 4
Theoretical X-ray powder pattern of NaAsPIr2 for Cu Kα, 1.54184 Å, from a crystal structure in OQMD, relaxed with PBE.

Principal peaks in the range 10° ≤ 2θ ≤ 90°, sorted by position:
15.06 deg, I = 100; 30.39 deg, I = 13; 31.63 deg, I = 15; 35.20 deg, I = 62; 44.43 deg, I = 43; 45.34 deg, I = 25; 48.04 deg, I = 22; 55.56 deg, I = 10; 57.16 deg, I = 18; 77.12 deg, I = 13; 81.18 deg, I = 9; 83.11 deg, I = 15

Atomic structure:
```
5
Lattice="-2.0003 2.0003 5.8825 2.0003 -2.0003 5.8825 2.0003 2.0003 -5.8825" Properties=species:S:1:pos:R:3 pbc="T T T"
Na 0.0000 0.0000 0.0000
As 0.0000 0.0000 4.2863
P 0.0000 0.0000 7.4674
Ir 2.0003 0.0000 2.8029
Ir 0.0000 2.0003 2.8029
```



Q: What is the formula in the first record?
A: AgIrAu